Record 1
# PmZnCu2Ni
Computed powder diffractogram, Cu Kα X-rays. Input: the GGA-PBE geometry in Alexandria.
Kinematic intensities with the Lorentz-polarization factor, no thermal factor.

Largest 10 diffraction maxima, in order of falling intensity, 10 to 90 degrees two-theta:
d/Å  I_rel
2.458  100
1.930  40
1.947  30
2.672  29
2.682  28
1.925  18
2.742  14
1.371  13
1.364  11
1.573  11

Cell and atoms:
```
PmZnCu2Ni
1.0
-1.9309 1.9463 5.5496
1.9309 -1.9463 5.5496
1.9309 1.9463 -5.5496
Pm Zn Cu Ni
1 1 2 1
Cartesian
0.0000 0.0000 0.0000
1.9309 0.0000 2.8759
0.0000 0.0000 6.8502
0.0000 1.9463 2.8947
0.0000 0.0000 4.4263
```

=====

Record 2
# Ca5ZnAu2
Computed powder diffractogram, Cu Kα X-rays. Input: the GGA-PBE geometry in Alexandria.
Kinematic intensities with the Lorentz-polarization factor, no thermal factor.

Largest 10 diffraction maxima, in order of falling intensity, 10 to 90 degrees two-theta:
d/Å  I_rel
2.919  100
3.807  90
2.908  73
3.776  68
2.713  67
2.173  57
1.953  45
3.955  44
2.273  41
2.648  41

Cell and atoms:
```
Ca5ZnAu2
1.0
7.9093 0.0000 0.0000
0.0000 13.0280 0.0000
0.0000 0.0000 4.5465
Ca Zn Au
10 2 4
Cartesian
0.0000 0.0000 0.0000
1.2817 3.8002 0.0000
1.4155 7.8028 2.2732
2.5391 1.2888 2.2732
2.6730 10.3141 0.0000
3.9546 6.5140 0.0000
5.2363 2.7138 0.0000
5.3702 11.7392 2.2732
6.4937 5.2252 2.2732
6.6276 9.2278 0.0000
0.0000 6.5140 0.0000
3.9546 0.0000 0.0000
0.4007 10.8034 2.2732
3.5539 4.2894 2.2732
4.3553 8.7386 2.2732
7.5086 2.2246 2.2732
```

=====

Record 3
# Tm6In3Te
Computed powder diffractogram, Cu Kα X-rays. Input: the GGA-PBE geometry in Alexandria.
Kinematic intensities with the Lorentz-polarization factor, no thermal factor.

Largest 10 diffraction maxima, in order of falling intensity, 10 to 90 degrees two-theta:
d/Å  I_rel
2.747  100
2.823  75
3.222  68
2.836  67
2.434  38
2.224  32
2.047  29
2.698  24
2.585  23
2.555  21

Cell and atoms:
```
Tm6In3Te
1.0
5.5358 -6.9799 0.0000
5.5358 6.9799 0.0000
0.0000 0.0000 7.4987
Tm In Te
12 6 2
Cartesian
5.5358 6.7420 3.7493
3.6706 2.7184 0.1669
3.0011 0.7213 4.8733
5.5358 2.8773 4.2676
3.0011 -0.7213 1.1240
7.4009 2.7184 0.1669
3.6706 -2.7184 3.9163
8.0704 0.7213 4.8733
5.5358 -2.8773 0.5183
8.0704 -0.7213 1.1240
7.4009 -2.7184 3.9163
5.5358 -6.7420 0.0000
1.6030 1.8496 2.1366
1.6030 -1.8496 5.8859
5.5358 0.1938 6.7397
5.5358 -0.1938 2.9904
9.4686 1.8496 2.1366
9.4686 -1.8496 5.8859
5.5358 4.5862 1.7320
5.5358 -4.5862 5.4813
```

=====

Record 4
# Tb7Sm2Th3
Computed powder diffractogram, Cu Kα X-rays. Input: the GGA-PBE geometry in Alexandria.
Kinematic intensities with the Lorentz-polarization factor, no thermal factor.

Largest 10 diffraction maxima, in order of falling intensity, 10 to 90 degrees two-theta:
d/Å  I_rel
2.866  100
2.761  75
2.611  46
2.912  24
3.425  23
1.613  18
1.953  18
2.043  13
2.680  12
3.035  12

Cell and atoms:
```
Tb7Sm2Th3
1.0
5.5215 0.0000 0.0000
0.0099 6.0715 0.0000
0.0054 0.2943 12.2596
Tb Sm Th
7 2 3
Cartesian
0.0000 0.0000 0.0000
0.0095 2.9252 10.0351
5.5273 3.4407 2.2245
2.7605 1.6077 6.7043
2.7665 0.6930 10.1625
2.7703 5.6729 2.0972
2.7763 4.7581 5.5553
2.7652 2.5005 3.4001
2.7717 3.8653 8.8595
5.5239 0.5293 4.3996
0.0129 5.8365 7.8600
2.7657 3.0358 0.0000
```

=====

Copy entry 3 word for word.
# Tm6In3Te
Computed powder diffractogram, Cu Kα X-rays. Input: the GGA-PBE geometry in Alexandria.
Kinematic intensities with the Lorentz-polarization factor, no thermal factor.

Largest 10 diffraction maxima, in order of falling intensity, 10 to 90 degrees two-theta:
d/Å  I_rel
2.747  100
2.823  75
3.222  68
2.836  67
2.434  38
2.224  32
2.047  29
2.698  24
2.585  23
2.555  21

Cell and atoms:
```
Tm6In3Te
1.0
5.5358 -6.9799 0.0000
5.5358 6.9799 0.0000
0.0000 0.0000 7.4987
Tm In Te
12 6 2
Cartesian
5.5358 6.7420 3.7493
3.6706 2.7184 0.1669
3.0011 0.7213 4.8733
5.5358 2.8773 4.2676
3.0011 -0.7213 1.1240
7.4009 2.7184 0.1669
3.6706 -2.7184 3.9163
8.0704 0.7213 4.8733
5.5358 -2.8773 0.5183
8.0704 -0.7213 1.1240
7.4009 -2.7184 3.9163
5.5358 -6.7420 0.0000
1.6030 1.8496 2.1366
1.6030 -1.8496 5.8859
5.5358 0.1938 6.7397
5.5358 -0.1938 2.9904
9.4686 1.8496 2.1366
9.4686 -1.8496 5.8859
5.5358 4.5862 1.7320
5.5358 -4.5862 5.4813
```